1.
Calculated powder X-ray diffraction pattern
Compound: RbSrNb2Zn
Radiation: copper Kα
Structure: a crystal structure in Alexandria, relaxed with PBE
Lines closer than 0.1° are merged.

Main lines, by angle (5 to 70 degrees two-theta):
14.66°, I 26
22.31°, I 27
28.00°, I 100
29.57°, I 61
33.80°, I 85
45.52°, I 72
48.55°, I 30
51.51°, I 18
56.98°, I 26
57.88°, I 35

Cell and atoms:
```
RbSrNb2Zn
1.0
5.304 0.000 0.000
0.000 5.304 0.000
0.000 0.000 6.041
Rb Sr Nb Zn
1 1 2 1
direct
0.000 0.000 0.000 Rb
0.500 0.500 0.500 Sr
0.000 0.500 0.500 Nb
0.500 0.000 0.500 Nb
0.500 0.500 0.000 Zn
```

2.
Calculated powder X-ray diffraction pattern
Compound: RbTaNbTe
Radiation: copper Kα
Structure: a crystal structure in Alexandria, relaxed with PBE
Lines closer than 0.1° are merged.

Main lines, by angle (5 to 70 degrees two-theta):
10.94°, I 100
21.98°, I 22
23.74°, I 16
27.59°, I 30
30.59°, I 35
33.24°, I 17
34.93°, I 80
40.06°, I 46
42.76°, I 20
47.59°, I 30

Cell and atoms:
```
RbTaNbTe
1.0
3.528 0.000 0.000
0.000 4.230 0.000
0.000 0.000 8.086
Rb Ta Nb Te
1 1 1 1
direct
0.000 0.000 0.000 Rb
0.500 0.000 0.555 Ta
0.000 0.500 0.577 Nb
0.500 0.500 0.307 Te
```

3.
Calculated powder X-ray diffraction pattern
Compound: RbNbTe2
Radiation: copper Kα
Structure: a crystal structure in Alexandria, relaxed with PBE
Lines closer than 0.1° are merged.

Main lines, by angle (5 to 70 degrees two-theta):
9.71°, I 29
26.44°, I 44
28.23°, I 11
29.43°, I 10
33.07°, I 100
39.97°, I 30
46.68°, I 35
48.24°, I 10
57.53°, I 11
58.39°, I 19

Cell and atoms:
```
RbNbTe2
1.0
3.892 0.000 0.000
-1.946 3.370 0.000
0.000 0.000 9.105
Rb Nb Te
1 1 2
direct
0.000 0.000 0.000 Rb
0.000 0.000 0.500 Nb
0.667 0.333 0.308 Te
0.667 0.333 0.692 Te
```

4.
Calculated powder X-ray diffraction pattern
Compound: RbNb5Te8
Radiation: copper Kα
Structure: a crystal structure in Alexandria, relaxed with PBE
Lines closer than 0.1° are merged.

Main lines, by angle (5 to 70 degrees two-theta):
11.03°, I 21
28.71°, I 42
30.17°, I 100
30.99°, I 21
31.15°, I 41
35.16°, I 29
36.58°, I 81
36.81°, I 33
47.13°, I 40
48.89°, I 29

Cell and atoms:
```
RbNb5Te8
1.0
10.148 -1.863 0.000
10.148 1.863 0.000
-2.590 0.000 9.761
Rb Nb Te
1 5 8
direct
0.000 0.000 0.000 Rb
0.139 0.139 0.509 Nb
0.213 0.213 0.868 Nb
0.500 0.500 0.500 Nb
0.787 0.787 0.132 Nb
0.861 0.861 0.491 Nb
0.069 0.069 0.703 Te
0.257 0.257 0.340 Te
0.348 0.348 0.995 Te
0.416 0.416 0.688 Te
0.584 0.584 0.312 Te
0.652 0.652 0.005 Te
0.743 0.743 0.660 Te
0.931 0.931 0.297 Te
```

5.
Calculated powder X-ray diffraction pattern
Compound: NbRe5
Radiation: copper Kα
Structure: a crystal structure in Alexandria, relaxed with PBE
Lines closer than 0.1° are merged.

Main lines, by angle (5 to 70 degrees two-theta):
14.73°, I 5
27.00°, I 1
39.26°, I 100
45.22°, I 16
45.79°, I 16
45.93°, I 16
49.99°, I 3
66.32°, I 10
66.43°, I 10
66.87°, I 11

Cell and atoms:
```
NbRe5
1.0
3.963 0.000 0.000
0.000 12.031 0.000
0.000 0.000 3.952
Nb Re
2 10
direct
0.000 0.000 0.000 Nb
0.500 0.500 0.000 Nb
0.000 0.172 0.500 Re
0.000 0.324 0.000 Re
0.000 0.500 0.500 Re
0.000 0.676 0.000 Re
0.000 0.828 0.500 Re
0.500 0.000 0.500 Re
0.500 0.176 0.000 Re
0.500 0.328 0.500 Re
0.500 0.672 0.500 Re
0.500 0.824 0.000 Re
```

6.
Calculated powder X-ray diffraction pattern
Compound: NbRe
Radiation: copper Kα
Structure: a crystal structure in Alexandria, relaxed with PBE
Lines closer than 0.1° are merged.

Main lines, by angle (5 to 70 degrees two-theta):
22.60°, I 53
32.11°, I 10
39.63°, I 100
39.75°, I 40
41.31°, I 77
49.01°, I 17
58.53°, I 7
58.65°, I 13
64.87°, I 14
67.18°, I 14

Cell and atoms:
```
NbRe
1.0
7.885 0.000 0.000
0.000 7.885 0.000
0.000 0.000 4.535
Nb Re
8 8
direct
0.030 0.309 0.000 Nb
0.191 0.470 0.500 Nb
0.309 0.970 0.000 Nb
0.470 0.809 0.500 Nb
0.530 0.191 0.500 Nb
0.691 0.030 0.000 Nb
0.809 0.530 0.500 Nb
0.970 0.691 0.000 Nb
0.120 0.805 0.500 Re
0.195 0.120 0.500 Re
0.305 0.620 0.000 Re
0.380 0.305 0.000 Re
0.620 0.695 0.000 Re
0.695 0.380 0.000 Re
0.805 0.880 0.500 Re
0.880 0.195 0.500 Re
```

> Which formula does entry 1 have?

RbSrNb2Zn